(1)
This entry pairs a crystal structure of SrB2Rh2 with its computed X-ray powder pattern. Radiation: Cu Kα (λ = 1.5418 Å). Structure: the GGA-PBE geometry in Alexandria.
Neutral-atom scattering factors, no anomalous dispersion.

Top 12 peaks for 10 to 90 degrees two-theta, in order of rising 2θ:
2theta	I_rel
19.23	23
30.60	100
35.06	97
38.12	39
41.05	53
46.07	21
52.81	21
54.04	16
57.26	16
60.14	17
66.92	18
81.33	16

Crystal structure
abc: 6.091 9.443 10.674
angles: 90.00 90.00 90.00
Space group Fddd (No. 70, origin choice 2)
Asymmetric unit:
Sr: 0.125 0.125 0.125 (multiplicity 8)
B: 0.125 0.298 0.625 (multiplicity 16)
Rh: 0.125 0.125 0.494 (multiplicity 16)


(2)
This entry pairs a crystal structure of Na3Ga2Pt3 with its computed X-ray powder pattern. Radiation: Cu Kα (λ = 1.5418 Å). Structure: the GGA-PBE geometry in Alexandria.
Neutral-atom scattering factors, no anomalous dispersion.

Top 12 peaks for 10 to 90 degrees two-theta, in order of rising 2θ:
2theta	I_rel
13.94	100
19.12	14
20.77	38
28.10	15
35.42	17
37.89	40
38.03	15
38.80	23
42.26	40
43.41	15
44.72	24
54.34	15

Crystal structure
abc: 5.5268 5.5268 19.0542
angles: 90.00 90.00 120.00
Space group R-3m (No. 166, hexagonal axes)
Asymmetric unit:
Na: 0.0000 0.0000 0.0000 (multiplicity 3)
Na: 0.0000 0.0000 0.4261 (multiplicity 6)
Ga: 0.0000 0.0000 0.2695 (multiplicity 6)
Pt: 0.0000 0.5000 0.5000 (multiplicity 9)


(3)
This entry pairs a crystal structure of LiAgF6 with its computed X-ray powder pattern. Radiation: Cu Kα (λ = 1.5418 Å). Structure: the GGA-PBE geometry in Alexandria.
Neutral-atom scattering factors, no anomalous dispersion.

Top 12 peaks for 10 to 90 degrees two-theta, in order of rising 2θ:
2theta	I_rel
19.15	100
27.22	69
33.50	26
36.27	9
43.68	29
48.10	39
56.14	16
59.88	21
63.48	18
66.98	10
77.00	12
86.62	10

Crystal structure
abc: 9.268 9.268 9.268
angles: 90.00 90.00 90.00
Space group Ia-3 (No. 206)
Asymmetric unit:
Li: 0.000 0.000 0.000 (multiplicity 8)
Ag: 0.250 0.250 0.250 (multiplicity 8)
F: 0.092 0.128 0.318 (multiplicity 48)